[1]
Computed powder X-ray diffraction pattern of Th4Ru for Cu Kα, from DFT lattice parameters and positions (GGA-PBE).
Kinematic intensities with the Lorentz-polarization factor, no thermal factor.

Top 10 peaks for 10° ≤ 2θ ≤ 80°, sorted by position:
2θ/deg  d_spacing  intensity
28.19  3.166  100
32.66  2.742  38
35.68  2.516  14
42.84  2.111  17
46.86  1.939  42
55.58  1.653  37
58.29  1.583  8
60.26  1.536  8
70.25  1.340  8
75.58  1.258  12

Cell and atoms:
Unit cell a=10.968 b=10.968 c=10.968 alpha=90.00 beta=90.00 gamma=90.00
Space group Fd-3m (No. 227, origin choice 2)
Inequivalent atoms, fractional coordinates:
1 Th 0.014 0.014 0.236 (multiplicity 32)
2 Ru 0.125 0.125 0.625 (multiplicity 8)

[2]
Computed powder X-ray diffraction pattern of KCaYSeO6 for Cu Kα, from DFT lattice parameters and positions (GGA-PBE).
Kinematic intensities with the Lorentz-polarization factor, no thermal factor.

Top 10 peaks for 10° ≤ 2θ ≤ 80°, sorted by position:
2θ/deg  d_spacing  intensity
22.04  4.033  38
31.37  2.852  100
36.96  2.432  1
44.95  2.016  41
49.24  1.850  1
50.61  1.804  14
55.84  1.646  36
65.46  1.426  23
69.98  1.344  6
74.38  1.275  17

Cell and atoms:
Unit cell a=8.066 b=8.066 c=8.066 alpha=90.00 beta=90.00 gamma=90.00
Space group F-43m (No. 216)
Inequivalent atoms, fractional coordinates:
1 K 0.000 0.000 0.000 (multiplicity 4)
2 Ca 0.000 0.000 0.500 (multiplicity 4)
3 Y 0.250 0.250 0.750 (multiplicity 4)
4 Se 0.250 0.250 0.250 (multiplicity 4)
5 O 0.024 0.250 0.250 (multiplicity 24)

[3]
Computed powder X-ray diffraction pattern of Sm2Zn17 for Cu Kα, from DFT lattice parameters and positions (GGA-PBE).
Kinematic intensities with the Lorentz-polarization factor, no thermal factor.

Top 10 peaks for 10° ≤ 2θ ≤ 80°, sorted by position:
2θ/deg  d_spacing  intensity
28.41  3.141  24
34.35  2.611  40
38.53  2.336  34
39.87  2.261  59
40.24  2.241  100
41.35  2.183  33
45.16  2.008  32
65.51  1.425  17
72.39  1.305  20
74.66  1.271  20

Cell and atoms:
Unit cell a=9.0445 b=9.0445 c=8.7333 alpha=90.00 beta=90.00 gamma=120.00
Space group P6_3/mmc (No. 194)
Inequivalent atoms, fractional coordinates:
1 Sm 0.0000 0.0000 0.2500 (multiplicity 2)
2 Sm 0.3333 0.6667 0.2500 (multiplicity 2)
3 Zn 0.0000 0.5000 0.0000 (multiplicity 6)
4 Zn 0.0367 0.3656 0.7500 (multiplicity 12)
5 Zn 0.1617 0.3234 0.0183 (multiplicity 12)
6 Zn 0.3333 0.6667 0.5986 (multiplicity 4)

[4]
Computed powder X-ray diffraction pattern of Pa3Te for Cu Kα, from DFT lattice parameters and positions (GGA-PBE).
Kinematic intensities with the Lorentz-polarization factor, no thermal factor.

Top 10 peaks for 10° ≤ 2θ ≤ 80°, sorted by position:
2θ/deg  d_spacing  intensity
19.40  4.576  4
27.57  3.236  4
33.93  2.642  100
39.38  2.288  50
44.26  2.047  2
48.74  1.868  2
56.91  1.618  35
60.71  1.525  1
67.94  1.380  42
71.40  1.321  12

Cell and atoms:
Unit cell a=4.576 b=4.576 c=4.576 alpha=90.00 beta=90.00 gamma=90.00
Space group Pm-3m (No. 221)
Inequivalent atoms, fractional coordinates:
1 Pa 0.000 0.000 0.500 (multiplicity 3)
2 Te 0.500 0.500 0.500 (multiplicity 1)

[5]
Computed powder X-ray diffraction pattern of PmInO3 for Cu Kα, from DFT lattice parameters and positions (GGA-PBE).
Kinematic intensities with the Lorentz-polarization factor, no thermal factor.

Top 7 peaks for 10° ≤ 2θ ≤ 80°, sorted by position:
2θ/deg  d_spacing  intensity
30.49  2.932  100
37.57  2.394  4
43.66  2.073  29
54.19  1.693  40
63.46  1.466  18
72.03  1.311  17
76.15  1.250  1

Cell and atoms:
Unit cell a=4.146 b=4.146 c=4.146 alpha=90.00 beta=90.00 gamma=90.00
Space group Pm-3m (No. 221)
Inequivalent atoms, fractional coordinates:
1 Pm 0.000 0.000 0.000 (multiplicity 1)
2 In 0.500 0.500 0.500 (multiplicity 1)
3 O 0.000 0.500 0.500 (multiplicity 3)

[6]
Computed powder X-ray diffraction pattern of ZrHg3 for Cu Kα, from DFT lattice parameters and positions (GGA-PBE).
Kinematic intensities with the Lorentz-polarization factor, no thermal factor.

Top 10 peaks for 10° ≤ 2θ ≤ 80°, sorted by position:
2θ/deg  d_spacing  intensity
19.91  4.459  7
28.30  3.153  6
34.85  2.575  100
40.45  2.230  50
45.48  1.994  4
50.10  1.821  3
58.54  1.577  34
62.48  1.486  2
69.97  1.345  40
73.57  1.287  12

Cell and atoms:
Unit cell a=4.459 b=4.459 c=4.459 alpha=90.00 beta=90.00 gamma=90.00
Space group Pm-3m (No. 221)
Inequivalent atoms, fractional coordinates:
1 Zr 0.000 0.000 0.000 (multiplicity 1)
2 Hg 0.000 0.500 0.500 (multiplicity 3)

[7]
Computed powder X-ray diffraction pattern of Ba2LuBiO6 for Cu Kα, from DFT lattice parameters and positions (GGA-PBE).
Kinematic intensities with the Lorentz-polarization factor, no thermal factor.

Top 10 peaks for 10° ≤ 2θ ≤ 80°, sorted by position:
2θ/deg  d_spacing  intensity
17.81  4.979  1
20.60  4.312  7
29.29  3.049  100
41.90  2.156  28
47.13  1.928  3
51.95  1.760  42
60.76  1.524  18
64.87  1.437  2
68.86  1.364  19
76.54  1.245  6

Cell and atoms:
Unit cell a=8.624 b=8.624 c=8.624 alpha=90.00 beta=90.00 gamma=90.00
Space group Fm-3m (No. 225)
Inequivalent atoms, fractional coordinates:
1 Ba 0.250 0.250 0.250 (multiplicity 8)
2 Lu 0.000 0.000 0.000 (multiplicity 4)
3 Bi 0.000 0.000 0.500 (multiplicity 4)
4 O 0.000 0.000 0.253 (multiplicity 24)

Please write out number 5 again, unchanged.
Computed powder X-ray diffraction pattern of PmInO3 for Cu Kα, from DFT lattice parameters and positions (GGA-PBE).
Kinematic intensities with the Lorentz-polarization factor, no thermal factor.

Top 7 peaks for 10° ≤ 2θ ≤ 80°, sorted by position:
2θ/deg  d_spacing  intensity
30.49  2.932  100
37.57  2.394  4
43.66  2.073  29
54.19  1.693  40
63.46  1.466  18
72.03  1.311  17
76.15  1.250  1

Cell and atoms:
Unit cell a=4.146 b=4.146 c=4.146 alpha=90.00 beta=90.00 gamma=90.00
Space group Pm-3m (No. 221)
Inequivalent atoms, fractional coordinates:
1 Pm 0.000 0.000 0.000 (multiplicity 1)
2 In 0.500 0.500 0.500 (multiplicity 1)
3 O 0.000 0.500 0.500 (multiplicity 3)